Starting from a structure optimized by DFT (PBE+U), the powder diffraction line list of Na2ErW3O12 was simulated for copper Kα.
Lines closer than 0.1° are merged.

Structural model:
```
18
Lattice="3.7481 2.1640 6.2902 -3.7481 2.1640 6.2902 0.0000 -4.3280 6.2902" Properties=species:S:1:pos:R:3 pbc="T T T"
Na 0.0000 0.0000 3.7229
Na 0.0000 0.0000 15.1476
Er 0.0000 0.0000 9.4352
W -1.8741 -1.0820 6.2902
W -1.8741 1.0820 12.5803
W 0.0000 2.1640 6.2901
O -1.6287 -0.9403 8.1806
O 0.0000 -1.5675 6.0583
O -1.3575 0.7837 6.0583
O 0.0000 -1.8806 10.6899
O -1.6287 0.9403 10.6899
O -1.3575 -0.7837 12.8122
O 1.3575 0.7837 6.0583
O 1.6287 -0.9403 8.1806
O 0.0000 1.8806 8.1806
O 1.3575 -0.7837 12.8122
O 0.0000 1.5675 12.8122
O 1.6287 0.9403 10.6899
```

Main lines, low angle first (5° ≤ 2θ ≤ 70°):
2θ/deg, I (rel.)
14.08, 40
14.43, 100
27.71, 44
27.89, 26
29.09, 57
33.51, 31